Sr3La2Ga2Pt4: theoretical powder diffraction line list (Cu Kα, 1.54184 Å), based on a DFT-relaxed cell (GGA-PBE, Alexandria).
Intensities are scaled so that the largest is 1000.

The 6 most intense peaks (2θ = 5–70°), low angle first:
two_theta, I/Imax, h k l
18.76, 350, 0 0 4
25.40, 216, 0 1 2
27.54, 226, 1 0 3
30.29, 1000, 0 1 4
41.42, 659, 1 1 0
52.17, 219, 2 0 4

Cell and atoms:
abc: 4.3597 4.3597 18.9165
angles: 90.00 90.00 120.00
Positions (direct):
Sr: 0.0000 0.0000 0.0000
Sr: 0.0000 0.0000 0.2370
Sr: 0.0000 0.0000 0.7630
La: 0.3333 0.6667 0.5859
La: 0.6667 0.3333 0.4141
Ga: 0.3333 0.6667 0.1190
Ga: 0.6667 0.3333 0.8810
Pt: 0.3333 0.6667 0.3415
Pt: 0.3333 0.6667 0.8818
Pt: 0.6667 0.3333 0.1182
Pt: 0.6667 0.3333 0.6585